For Pm4Ho7Er, a PBE-relaxed structure gives the calculated powder diffraction line list in this record (a wavelength of 1.5418 Å).
No peak broadening, texture or thermal motion is included.

Cell and atoms:
Lattice parameters (Å, degrees): 6.527 6.809 9.069 85.20 77.14 81.88
Fractional positions:
Pm: 0.139 0.310 0.284
Pm: 0.338 0.883 0.694
Pm: 0.662 0.117 0.306
Pm: 0.861 0.690 0.716
Ho: 0.012 0.253 0.950
Ho: 0.182 0.801 0.359
Ho: 0.312 0.393 0.616
Ho: 0.500 0.000 0.000
Ho: 0.688 0.607 0.384
Ho: 0.818 0.199 0.641
Ho: 0.988 0.747 0.050
Er: 0.500 0.500 0.000

The 12 most intense peaks (15° ≤ 2θ ≤ 90°), by intensity:
Position (°2θ), I (rel.)
31.69, 100
32.09, 52
31.11, 38
30.37, 36
32.30, 34
56.95, 19
32.55, 17
46.73, 13
45.61, 12
43.26, 11
34.87, 11
31.97, 10

For Y3Ho8Th, a PBE-relaxed structure gives the calculated powder diffraction line list in this record (a wavelength of 1.5418 Å).
No peak broadening, texture or thermal motion is included.

Cell and atoms:
Lattice parameters (Å, degrees): 9.429 9.429 9.429 131.83 131.83 70.50
Fractional positions:
Y: 0.000 0.000 0.000
Y: 0.250 0.750 0.500
Y: 0.750 0.250 0.500
Ho: 0.127 0.127 0.502
Ho: 0.127 0.625 0.000
Ho: 0.375 0.375 0.502
Ho: 0.375 0.873 0.000
Ho: 0.625 0.127 0.000
Ho: 0.625 0.625 0.498
Ho: 0.873 0.375 0.000
Ho: 0.873 0.873 0.498
Th: 0.500 0.500 0.000

The 12 most intense peaks (15° ≤ 2θ ≤ 90°), by intensity:
Position (°2θ), I (rel.)
32.91, 100
58.77, 38
23.11, 24
47.23, 18
19.98, 18
78.61, 16
69.02, 12
53.22, 10
38.80, 10
40.60, 8
73.87, 5
87.88, 4

For Ac3Al8Pd3, a PBE-relaxed structure gives the calculated powder diffraction line list in this record (a wavelength of 1.5418 Å).
No peak broadening, texture or thermal motion is included.

Cell and atoms:
Lattice parameters (Å, degrees): 8.563 8.563 8.563 149.24 104.51 83.69
Fractional positions:
Ac: 0.000 0.000 0.000
Ac: 0.318 0.318 0.000
Ac: 0.682 0.682 0.000
Al: 0.027 0.670 0.357
Al: 0.163 0.882 0.281
Al: 0.312 0.670 0.643
Al: 0.399 0.118 0.281
Al: 0.601 0.882 0.719
Al: 0.688 0.330 0.357
Al: 0.837 0.118 0.719
Al: 0.973 0.330 0.643
Pd: 0.275 0.500 0.775
Pd: 0.500 0.000 0.500
Pd: 0.725 0.500 0.225

The 12 most intense peaks (15° ≤ 2θ ≤ 90°), by intensity:
Position (°2θ), I (rel.)
33.55, 100
21.32, 37
22.56, 26
33.18, 25
28.76, 25
16.91, 24
39.69, 23
32.32, 21
34.21, 20
60.83, 17
26.90, 15
52.66, 14

For CsCaZnSe2, a PBE-relaxed structure gives the calculated powder diffraction line list in this record (a wavelength of 1.5418 Å).
No peak broadening, texture or thermal motion is included.

Cell and atoms:
Lattice parameters (Å, degrees): 8.319 5.236 8.495 90.00 99.80 90.00
Fractional positions:
Cs: 0.000 0.172 0.250
Cs: 0.000 0.828 0.750
Ca: 0.500 0.493 0.750
Ca: 0.500 0.507 0.250
Zn: 0.500 0.000 0.000
Zn: 0.500 0.000 0.500
Se: 0.284 0.323 0.965
Se: 0.284 0.677 0.465
Se: 0.716 0.323 0.535
Se: 0.716 0.677 0.035

The 12 most intense peaks (15° ≤ 2θ ≤ 90°), by intensity:
Position (°2θ), I (rel.)
23.64, 100
22.14, 56
37.06, 42
36.49, 39
28.27, 37
30.76, 28
53.72, 26
27.64, 24
35.99, 23
33.09, 21
27.75, 21
40.10, 20

For TbPm12Si4, a PBE-relaxed structure gives the calculated powder diffraction line list in this record (a wavelength of 1.5418 Å).
No peak broadening, texture or thermal motion is included.

Cell and atoms:
Lattice parameters (Å, degrees): 9.104 9.104 9.104 109.47 109.47 109.47
Fractional positions:
Tb: 0.000 0.000 0.000
Pm: 0.155 0.831 0.325
Pm: 0.169 0.325 0.494
Pm: 0.169 0.675 0.845
Pm: 0.325 0.155 0.831
Pm: 0.325 0.494 0.169
Pm: 0.494 0.169 0.325
Pm: 0.506 0.831 0.675
Pm: 0.675 0.506 0.831
Pm: 0.675 0.845 0.169
Pm: 0.831 0.325 0.155
Pm: 0.831 0.675 0.506
Pm: 0.845 0.169 0.675
Si: 0.000 0.000 0.500
Si: 0.000 0.500 0.000
Si: 0.500 0.000 0.000
Si: 0.500 0.500 0.500

The 12 most intense peaks (15° ≤ 2θ ≤ 90°), by intensity:
Position (°2θ), I (rel.)
26.82, 100
31.85, 60
50.63, 29
59.66, 21
53.75, 18
52.21, 16
42.11, 16
43.92, 16
76.97, 15
75.70, 14
29.43, 10
78.23, 9